Starting from a cell relaxed with PBE, the PXRD pattern of Er2InSnPd4 was simulated for Cu Kα.
Peak positions follow from Bragg's law for the DFT cell and can differ from measured ones.

Cell and atoms:
Cell lengths 4.5815, 4.5815, 8.8633 Å; angles 90.00, 90.00, 120.00 degrees
Space group P-3m1 (No. 164)
One atom of each set of equivalent atoms:
Er: 0.3333 0.6667 0.2497 [2 per cell]
In: 0.0000 0.0000 0.0000 [1 per cell]
Sn: 0.0000 0.0000 0.5000 [1 per cell]
Pd: 0.3333 0.6667 0.5875 [2 per cell]
Pd: 0.3333 0.6667 0.9134 [2 per cell]

Most intense lines, 2θ = 10–80°, most intense first:
(hkl)	2θ/deg	d (Å)	Rel. int.
1 1 0	39.33	2.291	100
0 1 3	37.97	2.370	96
0 1 2	30.23	2.956	37
2 0 3	55.82	1.647	31
1 2 3	70.41	1.337	31
3 0 0	71.31	1.323	18
1 0 6	67.68	1.384	15
1 1 6	76.77	1.242	10
1 0 0	22.41	3.968	9
2 0 2	50.40	1.811	9

=====

Starting from a cell relaxed with PBE, the PXRD pattern of YErIn4Pd2 was simulated for Cu Kα.
Peak positions follow from Bragg's law for the DFT cell and can differ from measured ones.

Cell and atoms:
Cell lengths 7.5139, 4.4806, 10.5747 Å; angles 90.00, 90.00, 90.00 degrees
Space group Amm2 (No. 38)
One atom of each set of equivalent atoms:
Y: 0.0000 0.0000 0.0000 [2 per cell]
Er: 0.5000 0.0000 0.1466 [2 per cell]
In: 0.2010 0.0000 0.7104 [4 per cell]
In: 0.2994 0.0000 0.4363 [4 per cell]
Pd: 0.0000 0.0000 0.2844 [2 per cell]
Pd: 0.5000 0.0000 0.8627 [2 per cell]

Most intense lines, 2θ = 10–80°, most intense first:
(hkl)	2θ/deg	d (Å)	Rel. int.
2 1 1	32.24	2.777	100
1 1 3	34.51	2.599	60
0 2 0	40.26	2.240	36
2 1 3	40.46	2.230	30
1 0 4	36.01	2.494	25
3 1 1	42.21	2.141	21
3 0 2	39.83	2.264	19
0 1 7	65.17	1.432	16
1 2 4	55.11	1.667	14
2 0 4	41.78	2.162	13

=====

Starting from a cell relaxed with PBE, the PXRD pattern of Er2ScIn3Pt2 was simulated for Cu Kα.
Peak positions follow from Bragg's law for the DFT cell and can differ from measured ones.

Cell and atoms:
Cell lengths 3.5233, 13.2378, 7.6420 Å; angles 90.00, 90.00, 90.00 degrees
Space group Amm2 (No. 38)
One atom of each set of equivalent atoms:
Er: 0.0000 0.2106 0.0000 [4 per cell]
Sc: 0.0000 0.0000 0.6339 [2 per cell]
In: 0.5000 0.0000 0.9731 [2 per cell]
In: 0.5000 0.1137 0.3296 [4 per cell]
Pt: 0.5000 0.1620 0.7083 [4 per cell]

Most intense lines, 2θ = 10–80°, most intense first:
(hkl)	2θ/deg	d (Å)	Rel. int.
1 0 2	34.63	2.590	100
0 4 2	35.90	2.502	80
1 2 2	37.28	2.412	68
0 2 0	13.38	6.619	36
2 4 2	64.72	1.440	28
1 3 5	70.46	1.336	27
0 3 3	40.91	2.206	24
1 5 1	44.41	2.040	23
1 7 3	67.13	1.394	20
1 7 1	56.53	1.628	18

=====

Starting from a cell relaxed with PBE, the PXRD pattern of TbEr2In3Pt2 was simulated for Cu Kα.
Peak positions follow from Bragg's law for the DFT cell and can differ from measured ones.

Cell and atoms:
Cell lengths 3.6186, 13.3370, 7.6761 Å; angles 90.00, 90.00, 90.00 degrees
Space group Amm2 (No. 38)
One atom of each set of equivalent atoms:
Tb: 0.0000 0.0000 0.0000 [2 per cell]
Er: 0.0000 0.2107 0.3686 [4 per cell]
In: 0.5000 0.0000 0.3503 [2 per cell]
In: 0.5000 0.1159 0.6938 [4 per cell]
Pt: 0.5000 0.1686 0.0803 [4 per cell]

Most intense lines, 2θ = 10–80°, most intense first:
(hkl)	2θ/deg	d (Å)	Rel. int.
1 0 2	34.03	2.635	100
0 5 1	35.68	2.517	69
1 2 2	36.68	2.450	69
0 2 0	13.30	6.659	27
2 5 1	63.31	1.469	26
0 3 3	40.65	2.219	19
2 0 0	50.44	1.809	17
1 3 5	69.80	1.347	16
1 5 1	43.82	2.066	14
1 7 1	55.87	1.646	14

=====

Starting from a cell relaxed with PBE, the PXRD pattern of ErTm2In3Pt2 was simulated for Cu Kα.
Peak positions follow from Bragg's law for the DFT cell and can differ from measured ones.

Cell and atoms:
Cell lengths 3.5828, 13.2835, 7.6669 Å; angles 90.00, 90.00, 90.00 degrees
Space group Amm2 (No. 38)
One atom of each set of equivalent atoms:
Er: 0.0000 0.0000 0.0000 [2 per cell]
Tm: 0.0000 0.2107 0.3680 [4 per cell]
In: 0.5000 0.0000 0.3480 [2 per cell]
In: 0.5000 0.1153 0.6940 [4 per cell]
Pt: 0.5000 0.1668 0.0787 [4 per cell]

Most intense lines, 2θ = 10–80°, most intense first:
(hkl)	2θ/deg	d (Å)	Rel. int.
1 0 2	34.26	2.618	100
0 5 1	35.77	2.510	70
1 2 2	36.91	2.435	69
0 2 0	13.33	6.641	27
2 5 1	63.84	1.458	25
1 3 5	70.04	1.343	23
1 7 1	56.15	1.638	22
0 3 3	40.76	2.214	19
1 7 3	66.72	1.402	17
0 5 3	49.49	1.842	17

=====

Starting from a cell relaxed with PBE, the PXRD pattern of Y2ErIn3Pt2 was simulated for Cu Kα.
Peak positions follow from Bragg's law for the DFT cell and can differ from measured ones.

Cell and atoms:
Cell lengths 3.6321, 13.3259, 7.7069 Å; angles 90.00, 90.00, 90.00 degrees
Space group Amm2 (No. 38)
One atom of each set of equivalent atoms:
Y: 0.0000 0.2099 0.0000 [4 per cell]
Er: 0.0000 0.0000 0.6315 [2 per cell]
In: 0.5000 0.0000 0.9781 [2 per cell]
In: 0.5000 0.1150 0.3260 [4 per cell]
Pt: 0.5000 0.1641 0.7087 [4 per cell]

Most intense lines, 2θ = 10–80°, most intense first:
(hkl)	2θ/deg	d (Å)	Rel. int.
1 3 1	33.93	2.642	100
0 1 3	35.62	2.521	76
1 4 0	36.59	2.456	67
0 1 1	13.27	6.671	30
2 1 3	63.09	1.473	28
1 4 2	43.71	2.071	26
0 6 0	40.59	2.223	23
1 1 5	66.29	1.410	19
1 6 4	69.57	1.351	18
2 0 0	50.24	1.816	18

=====

Starting from a cell relaxed with PBE, the PXRD pattern of SmEr2ScIn2 was simulated for Cu Kα.
Peak positions follow from Bragg's law for the DFT cell and can differ from measured ones.

Cell and atoms:
Cell lengths 5.2879, 5.2879, 6.6674 Å; angles 90.00, 90.00, 120.00 degrees
Space group P-6m2 (No. 187)
One atom of each set of equivalent atoms:
Sm: 0.0000 0.0000 0.0000 [1 per cell]
Er: 0.6667 0.3333 0.2610 [2 per cell]
Sc: 0.3333 0.6667 0.5000 [1 per cell]
In: 0.0000 0.0000 0.5000 [1 per cell]
In: 0.3333 0.6667 0.0000 [1 per cell]

Most intense lines, 2θ = 10–80°, most intense first:
(hkl)	2θ/deg	d (Å)	Rel. int.
1 0 2	33.24	2.695	100
1 1 0	33.90	2.644	91
2 1 2	60.24	1.536	36
2 0 2	48.22	1.887	35
1 1 4	66.29	1.410	25
3 0 0	60.67	1.526	17
1 0 0	19.38	4.579	13
2 2 0	71.35	1.322	10
0 0 4	55.10	1.667	7
1 0 1	23.57	3.775	5

=====

Starting from a cell relaxed with PBE, the PXRD pattern of ErTmIn3Si2 was simulated for Cu Kα.
Peak positions follow from Bragg's law for the DFT cell and can differ from measured ones.

Cell and atoms:
Cell lengths 10.5584, 4.2494, 6.9655 Å; angles 90.00, 99.61, 90.00 degrees
Space group Cm (No. 8)
One atom of each set of equivalent atoms:
Er: 0.0000 0.0000 0.0000 [2 per cell]
Tm: 0.2415 0.0000 0.6660 [2 per cell]
In: 0.1209 0.5000 0.3333 [2 per cell]
In: 0.3167 0.0000 0.1821 [2 per cell]
In: 0.4245 0.5000 0.4838 [2 per cell]
Si: 0.0268 0.5000 0.7157 [2 per cell]
Si: 0.2144 0.5000 0.9488 [2 per cell]

Most intense lines, 2θ = 10–80°, most intense first:
(hkl)	2θ/deg	d (Å)	Rel. int.
1 1 -2	33.55	2.671	100
3 1 0	33.34	2.688	43
3 1 1	37.48	2.400	28
0 2 0	42.55	2.125	22
4 0 -1	34.76	2.581	20
4 0 -2	39.82	2.264	13
7 1 -1	65.77	1.420	12
4 2 -1	56.06	1.640	11
2 2 2	55.26	1.662	11
1 1 1	26.82	3.324	11

=====

Starting from a cell relaxed with PBE, the PXRD pattern of SmErIn was simulated for Cu Kα.
Peak positions follow from Bragg's law for the DFT cell and can differ from measured ones.

Cell and atoms:
Cell lengths 5.4255, 5.4255, 6.7677 Å; angles 90.00, 90.00, 120.00 degrees
Space group P6_3/mmc (No. 194)
One atom of each set of equivalent atoms:
Sm: 0.3333 0.6667 0.2500 [2 per cell]
Er: 0.0000 0.0000 0.0000 [2 per cell]
In: 0.3333 0.6667 0.7500 [2 per cell]

Most intense lines, 2θ = 10–80°, most intense first:
(hkl)	2θ/deg	d (Å)	Rel. int.
1 1 0	33.02	2.713	100
1 0 2	32.61	2.746	99
2 1 2	58.71	1.573	37
2 0 2	47.09	1.930	35
1 1 4	64.96	1.436	28
3 0 0	58.97	1.566	19
3 1 2	78.68	1.216	16
2 2 0	69.27	1.356	12
0 0 4	54.21	1.692	8
1 1 2	42.72	2.117	5

=====

Starting from a cell relaxed with PBE, the PXRD pattern of Er3TmIn2 was simulated for Cu Kα.
Peak positions follow from Bragg's law for the DFT cell and can differ from measured ones.

Cell and atoms:
Cell lengths 5.3305, 5.3305, 6.6578 Å; angles 90.00, 90.00, 120.00 degrees
Space group P-6m2 (No. 187)
One atom of each set of equivalent atoms:
Er: 0.0000 0.0000 0.0000 [1 per cell]
Er: 0.3333 0.6667 0.2504 [2 per cell]
Tm: 0.6667 0.3333 0.5000 [1 per cell]
In: 0.0000 0.0000 0.5000 [1 per cell]
In: 0.6667 0.3333 0.0000 [1 per cell]

Most intense lines, 2θ = 10–80°, most intense first:
(hkl)	2θ/deg	d (Å)	Rel. int.
1 1 0	33.63	2.665	100
1 0 2	33.18	2.700	97
2 1 2	59.85	1.545	36
2 0 2	47.96	1.897	35
1 1 4	66.20	1.412	28
3 0 0	60.13	1.539	19
2 2 0	70.69	1.333	12
0 0 4	55.18	1.664	8
1 1 2	43.50	2.081	7
1 0 1	23.45	3.794	4

=====

Starting from a cell relaxed with PBE, the PXRD pattern of ErTm2ZnIn2 was simulated for Cu Kα.
Peak positions follow from Bragg's law for the DFT cell and can differ from measured ones.

Cell and atoms:
Cell lengths 5.1727, 5.1727, 6.3532 Å; angles 90.00, 90.00, 120.00 degrees
Space group P-3m1 (No. 164)
One atom of each set of equivalent atoms:
Er: 0.0000 0.0000 0.0000 [1 per cell]
Tm: 0.3333 0.6667 0.6579 [2 per cell]
Zn: 0.0000 0.0000 0.5000 [1 per cell]
In: 0.3333 0.6667 0.1705 [2 per cell]

Most intense lines, 2θ = 10–80°, most intense first:
(hkl)	2θ/deg	d (Å)	Rel. int.
1 1 0	34.65	2.589	100
3 0 0	62.14	1.494	27
2 0 2	49.81	1.831	18
1 0 4	61.99	1.497	9
1 0 1	24.31	3.661	8
2 2 0	73.19	1.293	6
0 2 4	73.03	1.296	5
2 1 1	56.18	1.637	3
0 2 1	42.81	2.112	2
1 3 1	78.39	1.220	1

=====

Starting from a cell relaxed with PBE, the PXRD pattern of Er5Ir3 was simulated for Cu Kα.
Peak positions follow from Bragg's law for the DFT cell and can differ from measured ones.

Cell and atoms:
Cell lengths 10.7737, 10.7737, 6.2873 Å; angles 90.00, 90.00, 90.00 degrees
Space group P4/ncc (No. 130, origin choice 2)
One atom of each set of equivalent atoms:
Er: 0.0411 0.1626 0.1238 [16 per cell]
Er: 0.2500 0.7500 0.0000 [4 per cell]
Ir: 0.0962 0.5962 0.7500 [8 per cell]
Ir: 0.2500 0.2500 0.3787 [4 per cell]

Most intense lines, 2θ = 10–80°, most intense first:
(hkl)	2θ/deg	d (Å)	Rel. int.
4 2 0	37.30	2.411	100
2 1 2	34.05	2.633	41
3 1 1	29.83	2.995	37
3 2 1	33.20	2.699	34
3 1 2	38.98	2.310	25
2 1 3	47.30	1.922	20
3 0 2	38.04	2.365	19
2 1 1	23.28	3.822	19
4 4 0	47.71	1.906	17
2 0 2	32.99	2.715	13